The following is a computed powder X-ray diffraction pattern of Nd2GdAl7Cu2. It was derived from DFT lattice parameters and positions (PBE), using Cu Kα (λ = 1.5418 Å).
No peak broadening, texture or thermal motion is included.

Structure:
abc: 5.5604 5.5604 25.7446
angles: 90.00 90.00 120.00
Space group R-3m (No. 166, hexagonal axes)
Symmetry-distinct sites (fractional):
Nd 0.0000 0.0000 0.1416 x6
Gd 0.0000 0.0000 0.0000 x3
Al 0.0000 0.0000 0.5000 x3
Al 0.0058 0.5029 0.9226 x18
Cu 0.0000 0.0000 0.3354 x6

Principal peaks in the range 10° ≤ 2θ ≤ 90°, by angle:
hkl	d [Å]	intensity
1 0 1	4.733	37
0 0 6	4.291	30
1 0 7	2.923	48
1 1 0	2.780	86
0 1 8	2.676	33
0 2 1	2.397	27
1 1 6	2.333	100
3 0 6	1.503	25
2 0 14	1.461	27
2 2 0	1.390	19

---

The following is a computed powder X-ray diffraction pattern of NdGd2Al7Cu2. It was derived from DFT lattice parameters and positions (PBE), using Cu Kα (λ = 1.5418 Å).
No peak broadening, texture or thermal motion is included.

Structure:
abc: 5.5393 5.5393 25.6802
angles: 90.00 90.00 120.00
Space group R-3m (No. 166, hexagonal axes)
Symmetry-distinct sites (fractional):
Nd 0.0000 0.0000 0.0000 x3
Gd 0.0000 0.0000 0.1419 x6
Al 0.0000 0.0000 0.5000 x3
Al 0.0061 0.5031 0.9212 x18
Cu 0.0000 0.0000 0.3353 x6

Principal peaks in the range 10° ≤ 2θ ≤ 90°, by angle:
hkl	d [Å]	intensity
1 0 1	4.716	38
0 0 6	4.280	30
1 0 7	2.914	49
1 1 0	2.770	88
0 1 8	2.668	32
0 2 1	2.388	27
1 1 6	2.325	100
3 0 6	1.498	25
2 0 14	1.457	27
2 2 0	1.385	19

---

The following is a computed powder X-ray diffraction pattern of NdGdAl4Cu2. It was derived from DFT lattice parameters and positions (PBE), using Cu Kα (λ = 1.5418 Å).
No peak broadening, texture or thermal motion is included.

Structure:
abc: 6.938 4.130 10.708
angles: 90.00 90.00 90.00
Space group Amm2 (No. 38)
Symmetry-distinct sites (fractional):
Nd 0.000 0.000 0.000 x2
Gd 0.500 0.000 0.884 x2
Al 0.195 0.000 0.286 x4
Al 0.307 0.000 0.600 x4
Cu 0.000 0.000 0.721 x2
Cu 0.500 0.000 0.161 x2

Principal peaks in the range 10° ≤ 2θ ≤ 90°, by angle:
hkl	d [Å]	intensity
1 0 2	4.239	16
0 1 1	3.853	60
2 0 0	3.469	49
2 1 1	2.578	87
1 1 3	2.517	100
1 0 4	2.498	57
3 0 2	2.122	18
0 2 0	2.065	27
3 1 3	1.757	29
1 2 4	1.592	28

---

The following is a computed powder X-ray diffraction pattern of GdY2Al3Cu2Ni. It was derived from DFT lattice parameters and positions (PBE), using Cu Kα (λ = 1.5418 Å).
No peak broadening, texture or thermal motion is included.

Structure:
abc: 3.988 12.196 7.077
angles: 90.00 90.00 90.00
Space group Amm2 (No. 38)
Symmetry-distinct sites (fractional):
Gd 0.000 0.000 0.000 x2
Y 0.000 0.206 0.617 x4
Al 0.500 0.000 0.642 x2
Al 0.500 0.116 0.298 x4
Cu 0.500 0.167 0.912 x4
Ni 0.000 0.000 0.412 x2

Principal peaks in the range 10° ≤ 2θ ≤ 90°, by angle:
hkl	d [Å]	intensity
0 1 1	6.120	20
1 0 0	3.988	14
0 0 2	3.531	32
0 2 2	3.061	15
1 3 1	2.643	100
1 4 0	2.426	100
0 4 2	2.308	20
0 3 3	2.040	15
1 4 2	2.001	21
2 0 0	1.994	27

---

The following is a computed powder X-ray diffraction pattern of GdTmAl4Cu2. It was derived from DFT lattice parameters and positions (PBE), using Cu Kα (λ = 1.5418 Å).
No peak broadening, texture or thermal motion is included.

Structure:
abc: 6.792 4.213 10.074
angles: 90.00 90.00 90.00
Space group Amm2 (No. 38)
Symmetry-distinct sites (fractional):
Gd 0.000 0.000 0.000 x2
Tm 0.500 0.000 0.143 x2
Al 0.198 0.000 0.710 x4
Al 0.305 0.000 0.431 x4
Cu 0.000 0.000 0.285 x2
Cu 0.500 0.000 0.859 x2

Principal peaks in the range 10° ≤ 2θ ≤ 90°, by angle:
hkl	d [Å]	intensity
1 0 2	4.046	22
0 1 1	3.887	55
2 0 0	3.396	44
2 1 1	2.557	84
1 1 3	2.449	100
1 0 4	2.361	45
0 2 0	2.107	27
2 2 0	1.790	14
3 1 3	1.715	25
1 2 4	1.572	25

---

The following is a computed powder X-ray diffraction pattern of Gd2YAl7Cu2. It was derived from DFT lattice parameters and positions (PBE), using Cu Kα (λ = 1.5418 Å).
No peak broadening, texture or thermal motion is included.

Structure:
abc: 5.5070 5.5070 25.5284
angles: 90.00 90.00 120.00
Space group R-3m (No. 166, hexagonal axes)
Symmetry-distinct sites (fractional):
Gd 0.0000 0.0000 0.1418 x6
Y 0.0000 0.0000 0.0000 x3
Al 0.0000 0.0000 0.5000 x3
Al 0.0063 0.5031 0.9216 x18
Cu 0.0000 0.0000 0.3354 x6

Principal peaks in the range 10° ≤ 2θ ≤ 90°, by angle:
hkl	d [Å]	intensity
1 0 1	4.688	25
0 0 6	4.255	26
1 0 4	3.820	36
1 0 7	2.897	46
1 1 0	2.753	89
0 1 8	2.652	29
0 2 1	2.374	24
1 1 6	2.312	100
3 0 6	1.489	24
2 0 14	1.448	26

---

The following is a computed powder X-ray diffraction pattern of Li4AlCu2Ge. It was derived from DFT lattice parameters and positions (PBE), using Cu Kα (λ = 1.5418 Å).
No peak broadening, texture or thermal motion is included.

Structure:
abc: 4.224 4.224 5.970
angles: 90.00 90.00 90.00
Space group P-4m2 (No. 115)
Symmetry-distinct sites (fractional):
Li 0.000 0.000 0.000 x1
Li 0.000 0.500 0.239 x2
Li 0.500 0.500 0.500 x1
Al 0.000 0.000 0.500 x1
Cu 0.000 0.500 0.752 x2
Ge 0.500 0.500 0.000 x1

Principal peaks in the range 10° ≤ 2θ ≤ 90°, by angle:
hkl	d [Å]	intensity
0 0 1	5.970	9
1 0 0	4.224	7
1 0 1	3.448	97
1 1 1	2.671	4
2 0 0	2.112	100
2 1 1	1.801	43
2 2 0	1.493	16
3 0 1	1.370	17
3 1 2	1.219	31
3 2 1	1.149	12

---

The following is a computed powder X-ray diffraction pattern of YSc2Al3CuGe2. It was derived from DFT lattice parameters and positions (PBE), using Cu Kα (λ = 1.5418 Å).
No peak broadening, texture or thermal motion is included.

Structure:
abc: 4.050 11.918 6.800
angles: 90.00 90.00 90.00
Space group Amm2 (No. 38)
Symmetry-distinct sites (fractional):
Y 0.000 0.000 0.000 x2
Sc 0.000 0.202 0.394 x4
Al 0.500 0.000 0.358 x2
Al 0.500 0.118 0.709 x4
Cu 0.000 0.000 0.582 x2
Ge 0.500 0.172 0.096 x4

Principal peaks in the range 10° ≤ 2θ ≤ 90°, by angle:
hkl	d [Å]	intensity
0 3 1	3.430	25
0 0 2	3.400	30
1 2 0	3.348	38
1 3 1	2.617	84
1 0 2	2.604	42
1 4 0	2.400	50
1 2 2	2.386	100
2 0 0	2.025	45
0 3 3	1.968	50
1 4 2	1.961	22

---

The following is a computed powder X-ray diffraction pattern of Tm3Al3CuSiGe. It was derived from DFT lattice parameters and positions (PBE), using Cu Kα (λ = 1.5418 Å).
No peak broadening, texture or thermal motion is included.

Structure:
abc: 6.9031 6.9031 4.1147
angles: 90.00 90.00 120.00
Space group P-6 (No. 174)
Symmetry-distinct sites (fractional):
Tm 0.0731 0.3360 0.0000 x3
Al 0.4326 0.3365 0.5000 x3
Cu 0.6667 0.3333 0.0000 x1
Si 0.3333 0.6667 0.5000 x1
Ge 0.0000 0.0000 0.5000 x1

Principal peaks in the range 10° ≤ 2θ ≤ 90°, by angle:
hkl	d [Å]	intensity
0 0 1	4.115	36
1 1 0	3.452	44
2 0 0	2.989	27
1 1 1	2.644	100
2 0 1	2.418	73
1 2 0	2.260	26
0 0 2	2.057	22
3 0 0	1.993	19
1 3 0	1.658	20
3 1 1	1.538	31

---

The following is a computed powder X-ray diffraction pattern of TbY2Al3CuGe2. It was derived from DFT lattice parameters and positions (PBE), using Cu Kα (λ = 1.5418 Å).
No peak broadening, texture or thermal motion is included.

Structure:
abc: 4.178 12.169 7.025
angles: 90.00 90.00 90.00
Space group Amm2 (No. 38)
Symmetry-distinct sites (fractional):
Tb 0.000 0.000 0.000 x2
Y 0.000 0.202 0.395 x4
Al 0.500 0.000 0.365 x2
Al 0.500 0.116 0.713 x4
Cu 0.000 0.000 0.597 x2
Ge 0.500 0.167 0.097 x4

Principal peaks in the range 10° ≤ 2θ ≤ 90°, by angle:
hkl	d [Å]	intensity
0 0 2	3.513	32
1 3 1	2.689	100
1 4 0	2.459	83
0 1 3	2.300	26
2 0 0	2.089	26
0 6 0	2.028	29
1 4 2	2.015	24
1 5 3	1.565	21
2 6 0	1.455	19
1 1 5	1.324	21

---

The following is a computed powder X-ray diffraction pattern of AlCuH6Ir. It was derived from DFT lattice parameters and positions (PBE), using Cu Kα (λ = 1.5418 Å).
No peak broadening, texture or thermal motion is included.

Structure:
abc: 6.237 6.237 6.237
angles: 90.00 90.00 90.00
Space group F-43m (No. 216)
Symmetry-distinct sites (fractional):
Al 0.000 0.000 0.000 x4
Cu 0.250 0.250 0.250 x4
H 0.000 0.000 0.276 x24
Ir 0.250 0.250 0.750 x4

Principal peaks in the range 10° ≤ 2θ ≤ 90°, by angle:
hkl	d [Å]	intensity
1 1 1	3.601	46
2 0 0	3.118	84
2 2 0	2.205	100
3 1 1	1.880	24
2 2 2	1.800	25
4 0 0	1.559	17
3 3 1	1.431	10
4 2 0	1.395	30
4 2 2	1.273	34
4 4 0	1.103	11

---

The following is a computed powder X-ray diffraction pattern of Zr6Al7Cu16H9. It was derived from DFT lattice parameters and positions (PBE), using Cu Kα (λ = 1.5418 Å).
No peak broadening, texture or thermal motion is included.

Structure:
abc: 12.057 12.057 12.057
angles: 90.00 90.00 90.00
Space group Fm-3m (No. 225)
Symmetry-distinct sites (fractional):
Zr 0.000 0.000 0.202 x24
Al 0.000 0.000 0.500 x4
Al 0.000 0.250 0.250 x24
Cu 0.120 0.120 0.380 x32
Cu 0.175 0.175 0.175 x32
H 0.000 0.000 0.000 x4
H 0.094 0.094 0.094 x32

Principal peaks in the range 10° ≤ 2θ ≤ 90°, by angle:
hkl	d [Å]	intensity
2 2 2	3.481	25
4 2 2	2.461	22
3 3 3	2.320	100
4 4 0	2.131	81
5 3 1	2.038	23
6 0 0	2.010	17
5 3 3	1.839	15
6 6 0	1.421	23
5 5 5	1.392	15
9 3 3	1.212	18

---

The following is a computed powder X-ray diffraction pattern of Hf2AlInCu2Pd2. It was derived from DFT lattice parameters and positions (PBE), using Cu Kα (λ = 1.5418 Å).
No peak broadening, texture or thermal motion is included.

Structure:
abc: 4.523 4.523 6.422
angles: 90.00 90.00 90.00
Space group P-4m2 (No. 115)
Symmetry-distinct sites (fractional):
Hf 0.000 0.000 0.000 x1
Hf 0.500 0.500 0.500 x1
Al 0.000 0.000 0.500 x1
In 0.500 0.500 0.000 x1
Cu 0.000 0.500 0.262 x2
Pd 0.000 0.500 0.732 x2

Principal peaks in the range 10° ≤ 2θ ≤ 90°, by angle:
hkl	d [Å]	intensity
1 0 1	3.698	17
2 0 0	2.265	100
1 0 3	1.935	3
2 1 1	1.929	6
0 0 4	1.606	5
2 2 0	1.599	11
2 0 4	1.309	11
3 1 2	1.307	22
2 2 4	1.133	7
4 0 0	1.131	4